Starting from DFT lattice parameters and positions (PBE), the X-ray powder pattern of DyHo2B2Pd2N3 was calculated for Cu Kα (λ = 1.5418 Å).
Intensities are scaled so that the largest is 100.

Structural model:
```
data_DyHo2B2Pd2N3
_chemical_formula_sum 'Dy2 Ho4 B4 Pd4 N6'
_cell_length_a 3.6288
_cell_length_b 3.6288
_cell_length_c 20.2415
_cell_angle_alpha 90.00
_cell_angle_beta 90.00
_cell_angle_gamma 90.00
_space_group_name_H-M_alt 'I 4/m m m'
_space_group_IT_number 139
_space_group_name_Hall '-I 4 2'
loop_
_atom_site_label
_atom_site_type_symbol
_atom_site_fract_x
_atom_site_fract_y
_atom_site_fract_z
Dy1 Dy 0.0000 0.0000 0.0000
Ho1 Ho 0.0000 0.0000 0.3817
B1 B 0.0000 0.0000 0.1844
Pd1 Pd 0.0000 0.5000 0.2500
N1 N 0.0000 0.0000 0.1137
N2 N 0.0000 0.0000 0.5000
```

Most intense lines, 2θ = 5–70°, most intense first:
Position (°2θ)  I (rel.)  hkl
33.15  100  1 0 5
27.92  91  1 0 3
36.11  80  1 1 2
35.48  62  0 0 8
39.37  57  1 1 4
50.29  52  2 0 0